# 1
SrCeMg14: calculated XRD peak list (Cu Kα (weighted mean of Kα1 and Kα2)), based on a structure optimized by DFT (GGA-PBE).
Peak positions follow from Bragg's law for the DFT cell and can differ from measured ones.

Cell and atoms:
```
16
Lattice="10.7277 0.0000 0.0000 0.0000 3.5338 5.5948 0.0000 -3.5338 5.5948" Properties=species:S:1:pos:R:3 pbc="T T T"
Sr 0.0000 0.0000 0.0000
Ce 0.0000 0.0000 5.6394
Mg 0.0000 -1.7429 2.7618
Mg 0.0000 1.7429 2.7618
Mg 2.6806 0.0000 3.6629
Mg 2.7488 0.0000 9.2140
Mg 2.7996 -1.7233 6.4833
Mg 2.7996 1.7233 6.4833
Mg 5.3639 0.0000 5.5420
Mg 5.3639 -1.7784 8.3639
Mg 5.3639 0.0000 11.1517
Mg 5.3639 1.7784 8.3639
Mg 7.9281 -1.7233 6.4833
Mg 7.9281 1.7233 6.4833
Mg 7.9789 0.0000 9.2140
Mg 8.0471 0.0000 3.6629
```

Principal peaks in the range 15° ≤ 2θ ≤ 90°, by angle:
15.84 deg, rel. 17
16.53 deg, rel. 17
17.88 deg, rel. 27
29.91 deg, rel. 26
33.41 deg, rel. 33
34.36 deg, rel. 100
36.22 deg, rel. 38
45.45 deg, rel. 16
60.33 deg, rel. 21
66.56 deg, rel. 17

=====

# 2
LiMg14CO16: calculated XRD peak list (Cu Kα (weighted mean of Kα1 and Kα2)), based on a structure optimized by DFT (GGA-PBE).
Peak positions follow from Bragg's law for the DFT cell and can differ from measured ones.

Cell and atoms:
```
32
Lattice="4.2293 0.0000 0.0000 0.0000 8.4163 0.0000 0.0000 0.0000 8.4880" Properties=species:S:1:pos:R:3 pbc="T T T"
Li 0.0000 0.0000 0.0000
Mg 0.0000 0.0000 4.2440
Mg 0.0000 2.0851 2.1018
Mg 0.0000 2.0851 6.3862
Mg 0.0000 4.2081 4.2440
Mg 0.0000 6.3312 2.1018
Mg 0.0000 6.3312 6.3862
Mg 2.1147 0.0000 2.0711
Mg 2.1147 0.0000 6.4170
Mg 2.1147 2.0890 0.0000
Mg 2.1147 2.0917 4.2440
Mg 2.1147 4.2081 2.0749
Mg 2.1147 4.2081 6.4131
Mg 2.1147 6.3245 4.2440
Mg 2.1147 6.3272 0.0000
C 0.0000 4.2081 0.0000
O 0.0000 0.0000 2.1423
O 0.0000 0.0000 6.3458
O 0.0000 2.1424 4.2440
O 0.0000 2.3987 0.0000
O 0.0000 4.2081 2.0304
O 0.0000 4.2081 6.4576
O 0.0000 6.0175 0.0000
O 0.0000 6.2739 4.2440
O 2.1147 0.0000 0.0000
O 2.1147 0.0000 4.2440
O 2.1147 2.1143 2.1057
O 2.1147 2.1143 6.3823
O 2.1147 4.2081 0.0000
O 2.1147 4.2081 4.2440
O 2.1147 6.3020 2.1057
O 2.1147 6.3020 6.3823
```

Principal peaks in the range 15° ≤ 2θ ≤ 90°, by angle:
36.83 deg, rel. 21
42.61 deg, rel. 100
42.76 deg, rel. 100
42.99 deg, rel. 94
61.95 deg, rel. 55
62.13 deg, rel. 53
62.24 deg, rel. 53
74.19 deg, rel. 6
74.73 deg, rel. 7
78.36 deg, rel. 47

=====

What is the formula in the first record? SrCeMg14